Diffraction record for Li4H3ClO3. The powder XRD pattern is theoretical, not measured: it uses a cell relaxed with GGA-PBE and a wavelength of 1.5418 Å.

Structural model:
```
data_Li4H3ClO3
_symmetry_space_group_name_H-M 'P 1 21/m 1'
_symmetry_Int_Tables_number 11
_symmetry_space_group_name_Hall '-P 2yb'
_cell_length_a 5.4391
_cell_length_b 7.4559
_cell_length_c 6.2875
_cell_angle_alpha 90.00
_cell_angle_beta 94.71
_cell_angle_gamma 90.00
loop_
_atom_site_label
_atom_site_type_symbol
_atom_site_fract_x
_atom_site_fract_y
_atom_site_fract_z
Li1 Li 0.0693 0.2500 0.4187
Li2 Li 0.3539 0.5152 0.6446
Li3 Li 0.3871 0.2500 0.1669
H1 H 0.1728 0.7500 0.8855
H2 H 0.1813 0.5388 0.2651
Cl1 Cl 0.1725 0.2500 0.8158
O1 O 0.2532 0.7500 0.7524
O2 O 0.2843 0.0499 0.3435
```

The 6 most intense peaks (15 to 90 degrees two-theta), by angle:
d = 4.384 Å, 20.25°, rel. 45, hkl 1 1 0; d = 3.710 Å, 23.99°, rel. 24, hkl 1 1 -1; d = 3.204 Å, 27.85°, rel. 33, hkl 0 2 1; d = 3.133 Å, 28.49°, rel. 43, hkl 0 0 2; d = 2.811 Å, 31.83°, rel. 100, hkl 1 2 -1; d = 2.710 Å, 33.06°, rel. 85, hkl 2 0 0

---

Diffraction record for LiTc2HCl. The powder XRD pattern is theoretical, not measured: it uses a cell relaxed with GGA-PBE and a wavelength of 1.5418 Å.

Structural model:
```
data_LiTc2HCl
_symmetry_space_group_name_H-M 'P 4/m m m'
_symmetry_Int_Tables_number 123
_symmetry_space_group_name_Hall '-P 4 2'
_cell_length_a 4.6505
_cell_length_b 4.6505
_cell_length_c 2.9235
_cell_angle_alpha 90.00
_cell_angle_beta 90.00
_cell_angle_gamma 90.00
loop_
_atom_site_label
_atom_site_type_symbol
_atom_site_fract_x
_atom_site_fract_y
_atom_site_fract_z
Li1 Li 0.0000 0.0000 0.0000
Tc1 Tc 0.0000 0.5000 0.5000
H1 H 0.5000 0.5000 0.0000
Cl1 Cl 0.5000 0.5000 0.5000
```

The 6 most intense peaks (15 to 90 degrees two-theta), by angle:
d = 3.288 Å, 27.12°, rel. 100, hkl 1 1 0; d = 2.924 Å, 30.58°, rel. 78, hkl 0 0 1; d = 2.325 Å, 38.72°, rel. 90, hkl 2 0 0; d = 2.185 Å, 41.32°, rel. 76, hkl 1 1 1; d = 1.820 Å, 50.13°, rel. 75, hkl 2 0 1; d = 1.433 Å, 65.09°, rel. 33, hkl 2 2 1

---

Diffraction record for Li6Zr6HCl18. The powder XRD pattern is theoretical, not measured: it uses a cell relaxed with GGA-PBE and a wavelength of 1.5418 Å.

Structural model:
```
data_Li6Zr6HCl18
_symmetry_space_group_name_H-M 'R -3'
_symmetry_Int_Tables_number 148
_symmetry_space_group_name_Hall '-R 3'
_cell_length_a 16.2439
_cell_length_b 16.2439
_cell_length_c 8.9617
_cell_angle_alpha 90.00
_cell_angle_beta 90.00
_cell_angle_gamma 120.00
loop_
_atom_site_label
_atom_site_type_symbol
_atom_site_fract_x
_atom_site_fract_y
_atom_site_fract_z
Li1 Li 0.0573 0.5670 0.1565
Zr1 Zr 0.0158 0.1204 0.1450
H1 H 0.0000 0.0000 0.0000
Cl1 Cl 0.0188 0.1387 0.6711
Cl2 Cl 0.0385 0.2626 0.3332
Cl3 Cl 0.0778 0.5654 0.6678
```

The 6 most intense peaks (15 to 90 degrees two-theta), by angle:
d = 5.533 Å, 16.02°, rel. 13, hkl 0 2 1; d = 2.804 Å, 31.92°, rel. 14, hkl 1 1 3; d = 2.619 Å, 34.24°, rel. 100, hkl 5 -3 2; d = 2.286 Å, 39.41°, rel. 13, hkl 4 2 2; d = 1.863 Å, 48.88°, rel. 25, hkl 1 7 0; d = 1.840 Å, 49.53°, rel. 26, hkl 3 2 4

---

Diffraction record for LuH2ClO2. The powder XRD pattern is theoretical, not measured: it uses a cell relaxed with GGA-PBE and a wavelength of 1.5418 Å.

Structural model:
```
data_LuH2ClO2
_symmetry_space_group_name_H-M 'P n m a'
_symmetry_Int_Tables_number 62
_symmetry_space_group_name_Hall '-P 2ac 2n'
_cell_length_a 12.7663
_cell_length_b 3.5008
_cell_length_c 6.2406
_cell_angle_alpha 90.00
_cell_angle_beta 90.00
_cell_angle_gamma 90.00
loop_
_atom_site_label
_atom_site_type_symbol
_atom_site_fract_x
_atom_site_fract_y
_atom_site_fract_z
Lu1 Lu 0.0504 0.2500 0.2498
H1 H 0.1186 0.2500 0.6858
H2 H 0.1527 0.7500 0.9583
Cl1 Cl 0.2096 0.7500 0.3787
O1 O 0.0469 0.2500 0.6292
O2 O 0.0790 0.7500 0.0018
```

The 6 most intense peaks (15 to 90 degrees two-theta), by angle:
d = 4.462 Å, 19.90°, rel. 83, hkl 2 0 1; d = 3.053 Å, 29.25°, rel. 52, hkl 0 1 1; d = 2.842 Å, 31.48°, rel. 42, hkl 4 0 1; d = 2.754 Å, 32.51°, rel. 100, hkl 2 1 1; d = 2.359 Å, 38.15°, rel. 57, hkl 4 1 0; d = 1.882 Å, 48.38°, rel. 46, hkl 4 1 2

---

Diffraction record for Mg2H3Cl. The powder XRD pattern is theoretical, not measured: it uses a cell relaxed with GGA-PBE and a wavelength of 1.5418 Å.

Structural model:
```
data_Mg2H3Cl
_symmetry_space_group_name_H-M 'A m m 2'
_symmetry_Int_Tables_number 38
_symmetry_space_group_name_Hall 'A 2 -2'
_cell_length_a 3.2198
_cell_length_b 6.2790
_cell_length_c 7.6036
_cell_angle_alpha 90.00
_cell_angle_beta 90.00
_cell_angle_gamma 90.00
loop_
_atom_site_label
_atom_site_type_symbol
_atom_site_fract_x
_atom_site_fract_y
_atom_site_fract_z
Mg1 Mg 0.0000 0.0000 0.0000
Mg2 Mg 0.5000 0.0000 0.4280
H1 H 0.0000 0.1916 0.4561
H2 H 0.5000 0.0000 0.1607
Cl1 Cl 0.5000 0.0000 0.7555
```

The 6 most intense peaks (15 to 90 degrees two-theta), by angle:
d = 4.842 Å, 18.32°, rel. 48, hkl 0 1 1; d = 3.140 Å, 28.43°, rel. 100, hkl 0 2 0; d = 2.681 Å, 33.42°, rel. 90, hkl 1 1 1; d = 2.457 Å, 36.57°, rel. 35, hkl 1 0 2; d = 2.350 Å, 38.30°, rel. 45, hkl 0 1 3; d = 1.899 Å, 47.91°, rel. 65, hkl 1 1 3

---

Diffraction record for MgH6N2Cl2. The powder XRD pattern is theoretical, not measured: it uses a cell relaxed with GGA-PBE and a wavelength of 1.5418 Å.

Structural model:
```
data_MgH6N2Cl2
_symmetry_space_group_name_H-M 'C 1 2 1'
_symmetry_Int_Tables_number 5
_symmetry_space_group_name_Hall 'C 2y'
_cell_length_a 8.3724
_cell_length_b 8.3523
_cell_length_c 3.8071
_cell_angle_alpha 90.00
_cell_angle_beta 95.22
_cell_angle_gamma 90.00
loop_
_atom_site_label
_atom_site_type_symbol
_atom_site_fract_x
_atom_site_fract_y
_atom_site_fract_z
Mg1 Mg 0.0000 0.0000 0.0000
H1 H 0.1892 0.5983 0.8286
H2 H 0.1896 0.4015 0.8263
H3 H 0.1963 0.4989 0.1987
N1 N 0.2399 0.4997 0.9565
Cl1 Cl 0.0000 0.2093 0.5000
Cl2 Cl 0.0000 0.7906 0.5000
```

The 6 most intense peaks (15 to 90 degrees two-theta), by angle:
d = 5.901 Å, 15.01°, rel. 75, hkl 1 1 0; d = 4.169 Å, 21.31°, rel. 41, hkl 2 0 0; d = 2.947 Å, 30.33°, rel. 67, hkl 2 0 -1; d = 2.807 Å, 31.88°, rel. 100, hkl 0 2 1; d = 2.638 Å, 33.99°, rel. 23, hkl 3 1 0; d = 2.086 Å, 43.39°, rel. 32, hkl 4 0 0

---

Diffraction record for MgH6N2Cl2. The powder XRD pattern is theoretical, not measured: it uses a cell relaxed with GGA-PBE and a wavelength of 1.5418 Å.

Structural model:
```
data_MgH6N2Cl2
_symmetry_space_group_name_H-M 'I m m a'
_symmetry_Int_Tables_number 74
_symmetry_space_group_name_Hall '-I 2b 2'
_cell_length_a 7.5689
_cell_length_b 8.2888
_cell_length_c 8.2804
_cell_angle_alpha 90.00
_cell_angle_beta 90.00
_cell_angle_gamma 90.00
loop_
_atom_site_label
_atom_site_type_symbol
_atom_site_fract_x
_atom_site_fract_y
_atom_site_fract_z
Mg1 Mg 0.0000 0.2500 0.2459
H1 H 0.0000 0.0689 0.6588
H2 H 0.1071 0.0550 0.8307
N1 N 0.0000 0.0114 0.7684
Cl1 Cl 0.2415 0.2500 0.4624
```

The 6 most intense peaks (15 to 90 degrees two-theta), by angle:
d = 5.858 Å, 15.12°, rel. 47, hkl 0 1 1; d = 4.144 Å, 21.44°, rel. 28, hkl 0 2 0; d = 2.929 Å, 30.52°, rel. 28, hkl 0 2 2; d = 2.794 Å, 32.04°, rel. 100, hkl 2 0 2; d = 2.154 Å, 41.95°, rel. 23, hkl 2 1 3; d = 1.664 Å, 55.19°, rel. 24, hkl 2 4 2

---

Diffraction record for MgH4NCl3. The powder XRD pattern is theoretical, not measured: it uses a cell relaxed with GGA-PBE and a wavelength of 1.5418 Å.

Structural model:
```
data_MgH4NCl3
_symmetry_space_group_name_H-M 'P 1'
_symmetry_Int_Tables_number 1
_symmetry_space_group_name_Hall 'P 1'
_cell_length_a 6.3565
_cell_length_b 7.3567
_cell_length_c 12.7487
_cell_angle_alpha 89.97
_cell_angle_beta 89.89
_cell_angle_gamma 89.84
loop_
_atom_site_label
_atom_site_type_symbol
_atom_site_fract_x
_atom_site_fract_y
_atom_site_fract_z
Mg1 Mg 0.0000 0.0000 0.0000
Mg2 Mg 0.0249 0.4999 0.5000
Mg3 Mg 0.5000 0.9999 0.0000
Mg4 Mg 0.5249 0.4999 0.5000
H1 H 0.0321 0.4977 0.8335
H2 H 0.0359 0.0012 0.3319
H3 H 0.3151 0.4227 0.1054
H4 H 0.3148 0.6325 0.1632
H5 H 0.3175 0.9433 0.7341
H6 H 0.3240 0.4405 0.2392
H7 H 0.3244 0.9253 0.6002
H8 H 0.3256 0.1353 0.6584
H9 H 0.5317 0.5013 0.1653
H10 H 0.5362 0.9974 0.6669
H11 H 0.8153 0.3675 0.8368
H12 H 0.8164 0.0568 0.2660
H13 H 0.8163 0.5772 0.8946
H14 H 0.8233 0.5595 0.7608
H15 H 0.8252 0.0748 0.3999
H16 H 0.8253 0.8648 0.3417
N1 N 0.3699 0.4993 0.1684
N2 N 0.3743 0.0003 0.6648
N3 N 0.8703 0.5005 0.8313
N4 N 0.8741 0.9994 0.3350
Cl1 Cl 0.2487 0.2594 0.9641
Cl2 Cl 0.2490 0.9253 0.1477
Cl3 Cl 0.2504 0.8170 0.8884
Cl4 Cl 0.2731 0.4322 0.6490
Cl5 Cl 0.2729 0.7568 0.4588
Cl6 Cl 0.2742 0.3091 0.3923
Cl7 Cl 0.7485 0.1827 0.1117
Cl8 Cl 0.7497 0.0746 0.8524
Cl9 Cl 0.7499 0.7405 0.0361
Cl10 Cl 0.7722 0.6907 0.6078
Cl11 Cl 0.7741 0.2431 0.5413
Cl12 Cl 0.7738 0.5676 0.3511
```

The 6 most intense peaks (15 to 90 degrees two-theta), by angle:
d = 3.185 Å, 28.02°, rel. 96, hkl 1 1 -3; d = 3.178 Å, 28.08°, rel. 33, hkl 2 0 0; d = 2.849 Å, 31.40°, rel. 100, hkl 1 0 4; d = 2.407 Å, 37.36°, rel. 36, hkl 2 1 -3; d = 2.253 Å, 40.03°, rel. 61, hkl 2 0 4; d = 1.767 Å, 51.72°, rel. 35, hkl 0 4 2